The following is a computed powder XRD pattern of Na2AlSi3HO9. It was derived from DFT lattice parameters and positions (GGA-PBE), using λ = 1.5418 Å (Cu Kα).

Main lines, most intense first (2θ = 15–90°):
(2 2 0), 29.55°, rel. 1000; (1 -1 0), 22.79°, rel. 718; (2 0 2), 32.31°, rel. 605; (1 2 0), 24.71°, rel. 551; (0 0 2), 20.70°, rel. 535; (1 0 2), 23.31°, rel. 527; (2 1 2), 29.34°, rel. 446; (0 2 2), 32.56°, rel. 427; (0 1 2), 23.59°, rel. 394; (-1 1 1), 25.28°, rel. 380

Atomic structure:
Lattice parameters (Å, degrees): 7.2724 7.3504 8.7799 80.31 79.17 64.46
Fractional coordinates of all 32 atoms:
Na: 0.1133 0.2179 0.0547
Na: 0.2613 0.4129 0.4420
Na: 0.7387 0.5871 0.5580
Na: 0.8867 0.7821 0.9453
Al: 0.4542 0.8027 0.8522
Al: 0.5458 0.1973 0.1478
Si: 0.0851 0.0944 0.6924
Si: 0.3048 0.9480 0.3617
Si: 0.3964 0.4010 0.8133
Si: 0.6036 0.5990 0.1867
Si: 0.6952 0.0520 0.6383
Si: 0.9149 0.9056 0.3076
H: 0.0901 0.4279 0.7500
H: 0.9099 0.5721 0.2500
O: 0.0271 0.3321 0.6502
O: 0.1204 0.9590 0.2722
O: 0.1438 0.4936 0.8211
O: 0.2036 0.9970 0.8478
O: 0.2345 0.9602 0.5478
O: 0.3617 0.1352 0.2820
O: 0.4627 0.2399 0.9654
O: 0.4763 0.5784 0.7915
O: 0.4985 0.2752 0.6542
O: 0.5015 0.7248 0.3458
O: 0.5237 0.4216 0.2085
O: 0.5373 0.7601 0.0346
O: 0.6383 0.8648 0.7180
O: 0.7655 0.0398 0.4522
O: 0.7964 0.0030 0.1522
O: 0.8562 0.5064 0.1789
O: 0.8796 0.0410 0.7278
O: 0.9729 0.6679 0.3498